Starting from a crystal structure in Alexandria, relaxed with GGA+U, the powder X-ray diffraction pattern of Pm2InFeO6 was calculated for Cu Ka.

Cell and atoms:
```
Pm2InFeO6
1.0
4.9008 -2.7795 0.0000
4.9008 2.7795 0.0000
-2.9511 0.0000 4.7795
Pm In Fe O
2 1 1 6
direct
0.2440 0.2440 0.2189
0.7560 0.7560 0.7811
0.0000 0.0000 0.5000
0.5000 0.5000 0.0000
0.1885 0.6712 0.1650
0.2519 0.2519 0.6349
0.3288 0.8115 0.8350
0.6712 0.1885 0.1650
0.7481 0.7481 0.3651
0.8115 0.3288 0.8350
```

Principal peaks in the range 15 to 90 degrees two-theta, in order of falling intensity:
two_theta  I_rel
31.85  100
30.56  79
45.97  35
32.20  34
56.42  21
55.06  19
43.40  18
55.24  15
57.59  14
57.18  14